The following is a theoretical powder diffraction line list of NaNiBiO4. It was derived from a cell relaxed with GGA+U, using Cu Kα.
Peak positions follow from Bragg's law for the DFT cell and can differ from measured ones.

```
NaNiBiO4
1.0
-3.197 3.342 4.497
3.197 -3.342 4.497
3.197 3.342 -4.497
Na Ni Bi O
2 2 2 8
Cartesian
0.000 1.671 1.260
3.197 1.671 3.237
1.599 1.671 -2.248
1.599 -1.671 2.248
3.197 0.000 0.000
0.000 0.000 4.497
3.197 -0.265 2.082
3.197 3.077 -2.082
1.761 1.671 -0.096
4.634 1.671 -0.096
-1.437 1.671 4.593
1.437 1.671 4.593
0.000 0.265 6.579
0.000 3.606 2.415
```

Largest 8 diffraction maxima, by intensity, 2θ from 15° to 90°:
d 5.211, 17.01°, I = 1000
d 2.813, 31.81°, I = 545
d 2.310, 38.99°, I = 307
d 2.714, 33.00°, I = 251
d 1.611, 57.17°, I = 247
d 2.682, 33.41°, I = 227
d 2.606, 34.42°, I = 189
d 1.762, 51.89°, I = 165

---

The following is a theoretical powder diffraction line list of Na2NiBiO4. It was derived from a cell relaxed with GGA+U, using Cu Kα.
Peak positions follow from Bragg's law for the DFT cell and can differ from measured ones.

```
Na2NiBiO4
1.0
-3.271 3.378 4.604
3.271 -3.378 4.604
3.271 3.378 -4.604
Na Ni Bi O
4 2 2 8
Cartesian
0.000 0.000 0.000
-1.636 1.689 2.302
0.000 3.378 0.000
1.636 1.689 2.302
1.636 1.689 -2.302
1.636 -1.689 2.302
3.271 0.000 0.000
0.000 0.000 4.604
3.271 -0.224 2.226
3.271 3.153 -2.226
1.711 1.689 -0.111
4.831 1.689 -0.111
-1.560 1.689 4.715
1.560 1.689 4.715
0.000 0.224 6.830
0.000 3.602 2.378
```

Largest 8 diffraction maxima, by intensity, 2θ from 15° to 90°:
d 5.333, 16.62°, I = 1000
d 2.350, 38.30°, I = 557
d 2.853, 31.35°, I = 423
d 2.723, 32.89°, I = 378
d 2.667, 33.61°, I = 351
d 1.644, 55.92°, I = 346
d 2.302, 39.13°, I = 263
d 4.604, 19.28°, I = 200